1.
Calculated powder X-ray diffraction pattern
Compound: SiSb2
Radiation: Cu Kα (λ = 1.5418 Å)
Structure: the PBE geometry in Alexandria
No peak broadening, texture or thermal motion is included.

Cell: 6.552 6.552 6.441 Å, 90.07 90.07 35.30°
Sites, in units of the cell vectors:
Si 0.000 0.000 0.186
Si 0.000 0.000 0.814
Sb 0.352 0.352 0.727
Sb 0.353 0.353 0.273
Sb 0.647 0.647 0.727
Sb 0.648 0.648 0.273

Main lines, low angle first (2θ = 10–80°):
- 23.50 deg, rel. 416
- 27.70 deg, rel. 661
- 28.59 deg, rel. 292
- 31.12 deg, rel. 1000
- 36.63 deg, rel. 280
- 40.23 deg, rel. 234
- 42.14 deg, rel. 761
- 54.25 deg, rel. 197

2.
Calculated powder X-ray diffraction pattern
Compound: Cs3Hg2Bi4Pb2
Radiation: Cu Kα (λ = 1.5418 Å)
Structure: the PBE geometry in Alexandria
No peak broadening, texture or thermal motion is included.

Cell: 5.246 5.246 21.026 Å, 90.00 90.00 120.00°
Sites, in units of the cell vectors:
Cs 0.000 0.000 0.000
Cs 0.000 0.000 0.274
Cs 0.000 0.000 0.726
Hg 0.333 0.667 0.137
Hg 0.667 0.333 0.863
Bi 0.333 0.667 0.402
Bi 0.333 0.667 0.859
Bi 0.667 0.333 0.141
Bi 0.667 0.333 0.598
Pb 0.333 0.667 0.553
Pb 0.667 0.333 0.447

Main lines, low angle first (2θ = 10–80°):
- 12.63 deg, rel. 256
- 23.33 deg, rel. 529
- 25.92 deg, rel. 703
- 29.74 deg, rel. 293
- 34.18 deg, rel. 1000
- 35.84 deg, rel. 205
- 45.94 deg, rel. 542
- 56.35 deg, rel. 210

- Which formula does entry 2 have?
  Cs3Hg2Bi4Pb2